Theoretical PXRD pattern
Compound: RbHSeO4
Radiation: Cu Ka
Structure: a cell relaxed with PBE

Peak list (6 most intense, 15 to 90 degrees two-theta, in order of falling intensity)
- 23.35 deg, 3.810 Å, rel. 100
- 23.10 deg, 3.850 Å, rel. 98
- 22.82 deg, 3.897 Å, rel. 86
- 32.82 deg, 2.729 Å, rel. 68
- 27.01 deg, 3.301 Å, rel. 62
- 32.98 deg, 2.716 Å, rel. 36

Crystal structure
Lattice parameters (Å, degrees): 4.703 7.795 10.870 69.07 77.89 89.42
Atoms (fractional coordinates):
Rb (0.000, 0.000, 0.000)
Rb (0.161, 0.331, 0.341)
Rb (0.583, 0.752, 0.672)
H (0.128, 0.362, 0.678)
H (0.443, 0.388, 0.988)
H (0.720, 0.706, 0.355)
Se (0.279, 0.843, 0.335)
Se (0.591, 0.241, 0.668)
Se (0.881, 0.505, 0.007)
O (0.045, 0.692, 0.882)
O (0.050, 0.734, 0.283)
O (0.111, 0.906, 0.460)
O (0.114, 0.344, 0.059)
O (0.296, 0.352, 0.729)
O (0.482, 0.010, 0.207)
O (0.507, 0.672, 0.408)
O (0.520, 0.185, 0.544)
O (0.625, 0.060, 0.800)
O (0.657, 0.407, 0.934)
O (0.676, 0.545, 0.136)
O (0.873, 0.399, 0.611)



Theoretical PXRD pattern
Compound: Rb5SiHO5
Radiation: Cu Ka
Structure: a cell relaxed with PBE

Peak list (6 most intense, 15 to 90 degrees two-theta, in order of falling intensity)
- 28.12 deg, 3.173 Å, rel. 100
- 23.74 deg, 3.748 Å, rel. 65
- 32.48 deg, 2.756 Å, rel. 54
- 36.87 deg, 2.438 Å, rel. 54
- 32.92 deg, 2.720 Å, rel. 47
- 29.49 deg, 3.029 Å, rel. 43

Crystal structure
Lattice parameters (Å, degrees): 6.667 6.667 12.171 99.47 99.47 111.57
Atoms (fractional coordinates):
Rb (0.116, 0.594, 0.698)
Rb (0.194, 0.806, 0.000)
Rb (0.232, 0.232, 0.468)
Rb (0.286, 0.286, 0.898)
Rb (0.406, 0.884, 0.302)
Rb (0.594, 0.116, 0.698)
Rb (0.714, 0.714, 0.102)
Rb (0.768, 0.768, 0.532)
Rb (0.806, 0.194, 0.000)
Rb (0.884, 0.406, 0.302)
Si (0.330, 0.330, 0.195)
Si (0.670, 0.670, 0.805)
H (0.282, 0.718, 0.500)
H (0.718, 0.282, 0.500)
O (0.110, 0.110, 0.200)
O (0.193, 0.807, 0.500)
O (0.247, 0.493, 0.125)
O (0.479, 0.479, 0.327)
O (0.493, 0.247, 0.125)
O (0.507, 0.753, 0.875)
O (0.521, 0.521, 0.673)
O (0.753, 0.507, 0.875)
O (0.807, 0.193, 0.500)
O (0.890, 0.890, 0.800)



Theoretical PXRD pattern
Compound: ReH3O5
Radiation: Cu Ka
Structure: a cell relaxed with PBE

Peak list (6 most intense, 15 to 90 degrees two-theta, in order of falling intensity)
- 16.75 deg, 5.292 Å, rel. 100
- 22.98 deg, 3.870 Å, rel. 97
- 15.43 deg, 5.744 Å, rel. 94
- 24.04 deg, 3.702 Å, rel. 79
- 15.70 deg, 5.643 Å, rel. 77
- 27.21 deg, 3.277 Å, rel. 72

Crystal structure
Lattice parameters (Å, degrees): 6.508 6.563 7.034 62.26 68.74 87.37
Atoms (fractional coordinates):
Re (0.153, 0.381, 0.248)
Re (0.847, 0.619, 0.752)
H (0.263, 0.165, 0.911)
H (0.314, 0.142, 0.666)
H (0.331, 0.915, 0.908)
H (0.669, 0.085, 0.092)
H (0.686, 0.858, 0.334)
H (0.737, 0.835, 0.089)
O (0.113, 0.588, 0.601)
O (0.130, 0.248, 0.087)
O (0.271, 0.202, 0.447)
O (0.319, 0.656, 0.058)
O (0.351, 0.093, 0.810)
O (0.649, 0.907, 0.190)
O (0.681, 0.344, 0.942)
O (0.729, 0.798, 0.553)
O (0.870, 0.752, 0.913)
O (0.887, 0.412, 0.399)



Theoretical PXRD pattern
Compound: ReH3O5
Radiation: Cu Ka
Structure: a cell relaxed with PBE

Peak list (6 most intense, 15 to 90 degrees two-theta, in order of falling intensity)
- 21.34 deg, 4.163 Å, rel. 100
- 17.66 deg, 5.022 Å, rel. 82
- 15.47 deg, 5.729 Å, rel. 77
- 28.62 deg, 3.119 Å, rel. 38
- 17.14 deg, 5.174 Å, rel. 37
- 28.89 deg, 3.090 Å, rel. 31

Crystal structure
Lattice parameters (Å, degrees): 6.415 7.098 7.117 73.51 77.41 63.95
Atoms (fractional coordinates):
Re (0.000, 0.000, 0.000)
Re (0.188, 0.327, 0.387)
H (0.128, 0.623, 0.974)
H (0.401, 0.562, 0.567)
H (0.409, 0.803, 0.537)
H (0.505, 0.208, 0.986)
H (0.564, 0.980, 0.953)
H (0.655, 0.578, 0.521)
O (0.008, 0.765, 0.917)
O (0.276, 0.049, 0.467)
O (0.291, 0.385, 0.137)
O (0.291, 0.895, 0.044)
O (0.300, 0.425, 0.522)
O (0.490, 0.642, 0.591)
O (0.621, 0.095, 0.917)
O (0.846, 0.050, 0.226)
O (0.884, 0.462, 0.403)
O (0.961, 0.238, 0.827)



Theoretical PXRD pattern
Compound: Re2HSeO
Radiation: Cu Ka
Structure: a cell relaxed with PBE

Peak list (6 most intense, 15 to 90 degrees two-theta, in order of falling intensity)
- 38.41 deg, 2.344 Å, rel. 100
- 20.54 deg, 4.325 Å, rel. 60
- 46.03 deg, 1.972 Å, rel. 35
- 32.10 deg, 2.789 Å, rel. 31
- 63.89 deg, 1.457 Å, rel. 26
- 80.08 deg, 1.198 Å, rel. 25

Crystal structure
Lattice parameters (Å, degrees): 3.944 3.944 4.325 90.00 90.00 90.00
Atoms (fractional coordinates):
Re (0.000, 0.500, 0.000)
Re (0.500, 0.000, 0.000)
H (0.000, 0.000, 0.500)
Se (0.500, 0.500, 0.500)
O (0.000, 0.000, 0.000)



Theoretical PXRD pattern
Compound: ReSn2HO6
Radiation: Cu Ka
Structure: a cell relaxed with PBE

Peak list (6 most intense, 15 to 90 degrees two-theta, in order of falling intensity)
- 18.97 deg, 4.679 Å, rel. 100
- 33.13 deg, 2.704 Å, rel. 44
- 30.66 deg, 2.916 Å, rel. 44
- 28.31 deg, 3.152 Å, rel. 43
- 29.22 deg, 3.056 Å, rel. 33
- 20.20 deg, 4.395 Å, rel. 27

Crystal structure
Lattice parameters (Å, degrees): 5.933 5.933 5.522 113.07 113.07 99.34
Atoms (fractional coordinates):
Re (0.000, 0.000, 0.000)
Sn (0.244, 0.628, 0.354)
Sn (0.628, 0.244, 0.354)
H (0.326, 0.326, 0.695)
O (0.269, 0.862, 0.058)
O (0.290, 0.290, 0.044)
O (0.331, 0.331, 0.521)
O (0.773, 0.773, 0.611)
O (0.862, 0.269, 0.058)
O (0.878, 0.878, 0.186)



Theoretical PXRD pattern
Compound: H5RhO4
Radiation: Cu Ka
Structure: a cell relaxed with PBE

Peak list (6 most intense, 15 to 90 degrees two-theta, in order of falling intensity)
- 20.86 deg, 4.259 Å, rel. 100
- 34.67 deg, 2.587 Å, rel. 58
- 21.69 deg, 4.097 Å, rel. 48
- 23.42 deg, 3.798 Å, rel. 37
- 25.20 deg, 3.534 Å, rel. 33
- 41.46 deg, 2.178 Å, rel. 29

Crystal structure
Lattice parameters (Å, degrees): 5.143 7.596 4.865 90.00 90.00 90.00
Atoms (fractional coordinates):
H (0.102, 0.100, 0.205)
H (0.102, 0.400, 0.205)
H (0.250, 0.750, 0.509)
H (0.398, 0.100, 0.205)
H (0.398, 0.400, 0.205)
H (0.602, 0.600, 0.795)
H (0.602, 0.900, 0.795)
H (0.750, 0.250, 0.491)
H (0.898, 0.600, 0.795)
H (0.898, 0.900, 0.795)
Rh (0.250, 0.250, 0.728)
Rh (0.750, 0.750, 0.272)
O (0.019, 0.750, 0.545)
O (0.250, 0.058, 0.086)
O (0.250, 0.442, 0.086)
O (0.481, 0.750, 0.545)
O (0.519, 0.250, 0.455)
O (0.750, 0.558, 0.914)
O (0.750, 0.942, 0.914)
O (0.981, 0.250, 0.455)



Theoretical PXRD pattern
Compound: SbHRh2O
Radiation: Cu Ka
Structure: a cell relaxed with PBE

Peak list (6 most intense, 15 to 90 degrees two-theta, in order of falling intensity)
- 22.01 deg, 4.038 Å, rel. 100
- 42.56 deg, 2.124 Å, rel. 71
- 35.96 deg, 2.498 Å, rel. 70
- 17.76 deg, 4.996 Å, rel. 64
- 58.81 deg, 1.570 Å, rel. 32
- 56.90 deg, 1.618 Å, rel. 30

Crystal structure
Lattice parameters (Å, degrees): 4.996 4.996 4.038 90.00 90.00 90.00
Atoms (fractional coordinates):
Sb (0.000, 0.000, 0.000)
H (0.500, 0.500, 0.500)
Rh (0.000, 0.500, 0.000)
Rh (0.500, 0.000, 0.000)
O (0.000, 0.000, 0.500)